Simulated XRD peak list of LiCuP3O9 for Cu Kα, 1.54184 Å, from the PBE geometry in Alexandria.

Atomic structure:
```
56
Lattice="5.800 0.000 0.000 0.000 10.390 0.000 0.000 0.000 11.491" Properties=species:S:1:pos:R:3 pbc="T T T"
Li 0.404 1.235 5.170
Li 2.496 9.155 10.916
Li 3.304 3.960 6.321
Li 5.396 6.431 0.575
Cu 0.625 9.975 1.631
Cu 2.275 0.415 7.376
Cu 3.525 5.610 9.860
Cu 5.175 4.780 4.115
P 0.286 7.423 9.259
P 0.888 0.878 10.137
P 1.027 3.795 10.125
P 1.872 6.596 4.380
P 2.012 9.512 4.392
P 2.614 2.967 3.513
P 3.186 8.162 2.233
P 3.788 4.317 1.354
P 3.927 1.400 1.366
P 4.772 8.990 7.112
P 4.912 6.073 7.099
P 5.514 2.228 7.978
O 0.030 3.542 8.861
O 0.380 6.300 8.077
O 0.400 4.771 11.043
O 0.487 6.344 3.828
O 0.548 10.219 11.162
O 0.794 9.872 3.566
O 0.933 1.902 7.109
O 1.037 2.316 10.830
O 1.295 2.812 4.179
O 1.605 7.578 9.925
O 1.863 8.074 5.084
O 1.967 8.488 1.363
O 2.106 0.518 9.312
O 2.352 0.172 5.416
O 2.413 4.047 9.574
O 2.500 5.619 5.297
O 2.520 4.090 2.332
O 2.870 6.848 3.115
O 2.930 1.653 2.631
O 3.279 9.286 3.414
O 3.300 0.424 0.449
O 3.387 9.242 7.663
O 3.448 5.367 0.329
O 3.694 5.713 7.925
O 3.833 3.293 4.382
O 3.937 2.879 0.662
O 4.195 2.383 7.312
O 4.505 8.007 1.566
O 4.762 7.511 6.407
O 4.867 7.097 10.128
O 5.006 4.677 2.180
O 5.252 5.024 6.075
O 5.313 1.149 1.917
O 5.400 9.966 6.194
O 5.420 1.105 9.160
O 5.770 8.738 8.376
```

Main lines, low angle first (2θ = 10–80°):
two_theta  Rel. int.  h k l
17.1  41  0 2 0
17.5  56  1 1 0
17.6  78  0 1 2
19.2  63  1 1 1
21.8  34  1 0 2
24.3  100  1 2 1
29.2  56  1 1 3
31.1  91  0 0 4
31.8  37  2 0 1
33.9  38  1 3 2